The following is a simulated powder XRD pattern of TlReO3. It was derived from a structure optimized by DFT (GGA-PBE), using Cu Ka.

Unit cell a=3.9557 b=3.9557 c=3.9811 alpha=90.00 beta=90.00 gamma=90.00
Atoms (fractional coordinates):
Tl  0.0000  0.0000  0.0000
Re  0.5000  0.5000  0.5000
O  0.0000  0.5000  0.5000
O  0.5000  0.0000  0.5000
O  0.5000  0.5000  0.0000

Principal peaks in the range 10 to 80 degrees two-theta, by intensity:
hkl 1 0 1, 31.9 deg, rel. 1000; hkl 1 1 0, 32.0 deg, rel. 496; hkl 2 1 1, 57.0 deg, rel. 403; hkl 2 0 0, 45.9 deg, rel. 254; hkl 1 1 2, 56.8 deg, rel. 204; hkl 3 1 0, 76.1 deg, rel. 176

***

The following is a simulated powder XRD pattern of NdHgNO. It was derived from a structure optimized by DFT (GGA-PBE), using Cu Ka.

Unit cell a=4.0802 b=6.2560 c=5.7425 alpha=90.00 beta=90.00 gamma=90.00
Atoms (fractional coordinates):
Nd  0.0000  0.2090  0.0000
Nd  0.0000  0.7910  0.5000
Hg  0.5000  0.2670  0.4843
Hg  0.5000  0.7330  0.9843
N  0.0000  0.1604  0.4197
N  0.0000  0.8396  0.9197
O  0.5000  0.3444  0.9142
O  0.5000  0.6556  0.4142

Principal peaks in the range 10 to 80 degrees two-theta, by intensity:
hkl 1 1 1, 30.4 deg, rel. 1000; hkl 0 2 0, 28.5 deg, rel. 332; hkl 0 0 2, 31.1 deg, rel. 312; hkl 0 2 2, 42.7 deg, rel. 216; hkl 1 1 3, 55.0 deg, rel. 214; hkl 1 3 1, 51.7 deg, rel. 206